[1]
# Nb15MoO40F
Calculated XRD peak list, copper Kα. Input: a cell relaxed with PBE+U.
Peak positions follow from Bragg's law for the DFT cell and can differ from measured ones.

Most intense lines, 2θ from 10° to 80°, sorted by position:
2theta, I/Imax
17.2, 20
23.1, 28
23.3, 52
23.9, 100
25.0, 80
30.6, 25
31.8, 22
32.4, 23
46.4, 26
57.3, 21

Lattice parameters (Å, degrees): 11.506 11.506 20.623 114.09 114.09 19.59
Fractional positions:
Nb (0.000, 0.000, 0.000)
Nb (0.000, 0.003, 0.267)
Nb (0.135, 0.131, 0.926)
Nb (0.151, 0.127, 0.463)
Nb (0.172, 0.096, 0.195)
Nb (0.266, 0.266, 0.120)
Nb (0.272, 0.268, 0.390)
Nb (0.398, 0.404, 0.314)
Nb (0.596, 0.602, 0.686)
Nb (0.732, 0.728, 0.610)
Nb (0.734, 0.734, 0.880)
Nb (0.869, 0.865, 0.074)
Nb (0.873, 0.849, 0.537)
Nb (0.904, 0.828, 0.805)
Nb (0.997, 0.000, 0.733)
Mo (0.753, 0.247, 0.500)
O (0.067, 0.069, 0.237)
O (0.068, 0.065, 0.096)
O (0.071, 0.065, 0.962)
O (0.072, 0.063, 0.825)
O (0.073, 0.067, 0.510)
O (0.075, 0.073, 0.686)
O (0.079, 0.064, 0.375)
O (0.205, 0.208, 0.159)
O (0.208, 0.207, 0.299)
O (0.209, 0.199, 0.023)
O (0.211, 0.206, 0.435)
O (0.215, 0.207, 0.584)
O (0.215, 0.209, 0.886)
O (0.346, 0.342, 0.357)
O (0.347, 0.337, 0.219)
O (0.354, 0.344, 0.507)
O (0.355, 0.347, 0.082)
O (0.367, 0.357, 0.802)
O (0.481, 0.477, 0.421)
O (0.489, 0.485, 0.283)
O (0.515, 0.511, 0.717)
O (0.523, 0.519, 0.579)
O (0.643, 0.633, 0.198)
O (0.653, 0.645, 0.918)
O (0.656, 0.646, 0.493)
O (0.658, 0.654, 0.643)
O (0.663, 0.653, 0.781)
O (0.791, 0.785, 0.114)
O (0.792, 0.795, 0.841)
O (0.793, 0.785, 0.416)
O (0.793, 0.792, 0.701)
O (0.794, 0.789, 0.565)
O (0.801, 0.791, 0.977)
O (0.927, 0.925, 0.314)
O (0.931, 0.933, 0.763)
O (0.933, 0.927, 0.490)
O (0.935, 0.929, 0.038)
O (0.935, 0.932, 0.904)
O (0.936, 0.921, 0.625)
O (0.937, 0.928, 0.175)
F (0.501, 0.499, 0.000)


[2]
# NdMoO4F
Calculated XRD peak list, copper Kα. Input: a cell relaxed with PBE+U.
Peak positions follow from Bragg's law for the DFT cell and can differ from measured ones.

Most intense lines, 2θ from 10° to 80°, sorted by position:
2theta, I/Imax
22.8, 30
23.7, 100
24.4, 75
26.4, 48
29.7, 49
30.1, 87
31.4, 26
40.3, 28
46.1, 30
48.4, 31

Lattice parameters (Å, degrees): 7.028 6.612 10.130 90.00 115.83 90.00
Fractional positions:
Nd (0.196, 0.128, 0.422)
Nd (0.196, 0.372, 0.922)
Nd (0.804, 0.628, 0.078)
Nd (0.804, 0.872, 0.578)
Mo (0.334, 0.636, 0.665)
Mo (0.334, 0.864, 0.165)
Mo (0.666, 0.136, 0.835)
Mo (0.666, 0.364, 0.335)
O (0.165, 0.642, 0.081)
O (0.165, 0.858, 0.581)
O (0.214, 0.099, 0.088)
O (0.214, 0.401, 0.588)
O (0.440, 0.606, 0.864)
O (0.440, 0.894, 0.364)
O (0.446, 0.160, 0.873)
O (0.446, 0.340, 0.373)
O (0.554, 0.660, 0.627)
O (0.554, 0.840, 0.127)
O (0.560, 0.106, 0.636)
O (0.560, 0.394, 0.136)
O (0.786, 0.599, 0.412)
O (0.786, 0.901, 0.912)
O (0.835, 0.142, 0.419)
O (0.835, 0.358, 0.919)
F (0.014, 0.617, 0.739)
F (0.014, 0.883, 0.239)
F (0.986, 0.117, 0.761)
F (0.986, 0.383, 0.261)


[3]
# Mo5O12F3
Calculated XRD peak list, copper Kα. Input: a cell relaxed with PBE+U.
Peak positions follow from Bragg's law for the DFT cell and can differ from measured ones.

Most intense lines, 2θ from 10° to 80°, sorted by position:
2theta, I/Imax
22.2, 100
22.6, 100
23.3, 100
31.9, 19
32.5, 35
32.7, 37
45.4, 20
46.1, 20
47.7, 21
51.7, 24

Lattice parameters (Å, degrees): 5.600 6.791 8.580 76.59 71.25 89.28
Fractional positions:
Mo (0.000, 0.000, 0.000)
Mo (0.109, 0.793, 0.603)
Mo (0.350, 0.586, 0.203)
Mo (0.580, 0.373, 0.808)
Mo (0.696, 0.174, 0.411)
O (0.054, 0.889, 0.802)
O (0.157, 0.796, 0.099)
O (0.252, 0.686, 0.402)
O (0.264, 0.187, 0.904)
O (0.439, 0.982, 0.503)
O (0.453, 0.491, 0.007)
O (0.542, 0.375, 0.308)
O (0.654, 0.282, 0.597)
O (0.769, 0.193, 0.900)
O (0.852, 0.086, 0.203)
O (0.857, 0.592, 0.700)
O (0.938, 0.981, 0.505)
F (0.041, 0.385, 0.303)
F (0.353, 0.584, 0.704)
F (0.662, 0.789, 0.103)


[4]
# Rb2MoO2F4
Calculated XRD peak list, copper Kα. Input: a cell relaxed with PBE+U.
Peak positions follow from Bragg's law for the DFT cell and can differ from measured ones.

Most intense lines, 2θ from 10° to 80°, sorted by position:
2theta, I/Imax
23.4, 31
24.6, 85
26.4, 91
26.6, 100
29.3, 45
38.2, 48
38.9, 44
39.2, 45
44.2, 23
44.7, 19

Lattice parameters (Å, degrees): 7.882 7.882 7.252 90.41 90.41 134.46
Fractional positions:
Rb (0.056, 0.944, 0.750)
Rb (0.267, 0.733, 0.250)
Rb (0.733, 0.267, 0.750)
Rb (0.944, 0.056, 0.250)
Mo (0.390, 0.610, 0.750)
Mo (0.610, 0.390, 0.250)
O (0.168, 0.401, 0.574)
O (0.401, 0.168, 0.074)
O (0.599, 0.832, 0.926)
O (0.832, 0.599, 0.426)
F (0.155, 0.385, 0.940)
F (0.253, 0.747, 0.750)
F (0.385, 0.155, 0.440)
F (0.476, 0.524, 0.250)
F (0.524, 0.476, 0.750)
F (0.615, 0.845, 0.560)
F (0.747, 0.253, 0.250)
F (0.845, 0.615, 0.060)


[5]
# Rb2MoO2F4
Calculated XRD peak list, copper Kα. Input: a cell relaxed with PBE+U.
Peak positions follow from Bragg's law for the DFT cell and can differ from measured ones.

Most intense lines, 2θ from 10° to 80°, sorted by position:
2theta, I/Imax
23.2, 17
24.7, 42
26.3, 100
29.0, 24
38.4, 46
38.9, 23
44.5, 22
49.2, 14
49.8, 20
62.0, 13

Lattice parameters (Å, degrees): 7.204 7.960 7.960 134.45 90.00 90.00
Fractional positions:
Rb (0.250, 0.056, 0.944)
Rb (0.250, 0.724, 0.254)
Rb (0.750, 0.254, 0.724)
Rb (0.750, 0.944, 0.056)
Mo (0.250, 0.392, 0.619)
Mo (0.750, 0.619, 0.392)
O (0.062, 0.570, 0.804)
O (0.438, 0.570, 0.804)
O (0.562, 0.804, 0.570)
O (0.938, 0.804, 0.570)
F (0.071, 0.120, 0.361)
F (0.250, 0.218, 0.714)
F (0.250, 0.477, 0.443)
F (0.429, 0.120, 0.361)
F (0.571, 0.361, 0.120)
F (0.750, 0.443, 0.477)
F (0.750, 0.714, 0.218)
F (0.929, 0.361, 0.120)


[6]
# Rb2MoO2F4
Calculated XRD peak list, copper Kα. Input: a cell relaxed with PBE+U.
Peak positions follow from Bragg's law for the DFT cell and can differ from measured ones.

Most intense lines, 2θ from 10° to 80°, sorted by position:
2theta, I/Imax
23.6, 27
24.7, 47
26.7, 100
29.4, 27
34.4, 18
38.8, 58
39.5, 31
44.8, 22
50.0, 21
62.7, 17

Lattice parameters (Å, degrees): 7.834 7.834 7.195 90.00 90.00 134.39
Fractional positions:
Rb (0.049, 0.951, 0.500)
Rb (0.272, 0.728, 0.988)
Rb (0.728, 0.272, 0.488)
Rb (0.951, 0.049, 0.000)
Mo (0.386, 0.614, 0.476)
Mo (0.614, 0.386, 0.976)
O (0.155, 0.396, 0.323)
O (0.396, 0.155, 0.823)
O (0.604, 0.845, 0.323)
O (0.845, 0.604, 0.823)
F (0.163, 0.392, 0.697)
F (0.250, 0.750, 0.526)
F (0.392, 0.163, 0.197)
F (0.481, 0.519, 0.006)
F (0.519, 0.481, 0.506)
F (0.608, 0.837, 0.697)
F (0.750, 0.250, 0.026)
F (0.837, 0.608, 0.197)


[7]
# SmMoO4F
Calculated XRD peak list, copper Kα. Input: a cell relaxed with PBE+U.
Peak positions follow from Bragg's law for the DFT cell and can differ from measured ones.

Most intense lines, 2θ from 10° to 80°, sorted by position:
2theta, I/Imax
14.0, 44
19.3, 25
22.9, 61
26.9, 30
27.8, 100
30.4, 33
31.6, 27
34.2, 25
51.8, 28
54.0, 23

Lattice parameters (Å, degrees): 5.353 12.644 6.868 90.00 112.76 90.00
Fractional positions:
Sm (0.138, 0.053, 0.300)
Sm (0.138, 0.447, 0.800)
Sm (0.862, 0.553, 0.200)
Sm (0.862, 0.947, 0.700)
Mo (0.422, 0.143, 0.870)
Mo (0.422, 0.357, 0.370)
Mo (0.578, 0.643, 0.630)
Mo (0.578, 0.857, 0.130)
O (0.195, 0.066, 0.960)
O (0.195, 0.434, 0.460)
O (0.266, 0.653, 0.413)
O (0.266, 0.847, 0.913)
O (0.307, 0.226, 0.294)
O (0.307, 0.274, 0.794)
O (0.492, 0.069, 0.665)
O (0.492, 0.431, 0.165)
O (0.508, 0.569, 0.835)
O (0.508, 0.931, 0.335)
O (0.693, 0.726, 0.206)
O (0.693, 0.774, 0.706)
O (0.734, 0.153, 0.087)
O (0.734, 0.347, 0.587)
O (0.805, 0.566, 0.540)
O (0.805, 0.934, 0.040)
F (0.052, 0.598, 0.965)
F (0.052, 0.902, 0.465)
F (0.948, 0.098, 0.535)
F (0.948, 0.402, 0.035)


[8]
# Te4MoO5F20
Calculated XRD peak list, copper Kα. Input: a cell relaxed with PBE+U.
Peak positions follow from Bragg's law for the DFT cell and can differ from measured ones.

Most intense lines, 2θ from 10° to 80°, sorted by position:
2theta, I/Imax
17.7, 64
18.6, 100
18.9, 45
20.1, 44
20.7, 60
21.2, 57
21.7, 42
23.7, 96
24.1, 48
27.3, 38

Lattice parameters (Å, degrees): 9.605 10.267 10.564 71.66 88.12 82.23
Fractional positions:
Te (0.170, 0.032, 0.190)
Te (0.174, 0.543, 0.195)
Te (0.299, 0.181, 0.682)
Te (0.302, 0.694, 0.679)
Te (0.698, 0.306, 0.321)
Te (0.701, 0.819, 0.318)
Te (0.826, 0.457, 0.805)
Te (0.830, 0.968, 0.810)
Mo (0.273, 0.843, 0.946)
Mo (0.727, 0.157, 0.054)
O (0.156, 0.730, 0.078)
O (0.218, 0.752, 0.823)
O (0.252, 0.974, 0.050)
O (0.320, 0.995, 0.798)
O (0.434, 0.758, 0.993)
O (0.566, 0.242, 0.007)
O (0.680, 0.005, 0.202)
O (0.748, 0.026, 0.950)
O (0.782, 0.248, 0.177)
O (0.844, 0.270, 0.922)
F (0.005, 0.517, 0.130)
F (0.014, 0.979, 0.868)
F (0.073, 0.597, 0.328)
F (0.080, 0.088, 0.327)
F (0.128, 0.667, 0.627)
F (0.135, 0.155, 0.609)
F (0.148, 0.217, 0.083)
F (0.182, 0.850, 0.304)
F (0.194, 0.359, 0.306)
F (0.196, 0.239, 0.813)
F (0.274, 0.876, 0.565)
F (0.275, 0.482, 0.065)
F (0.276, 0.365, 0.573)
F (0.330, 0.509, 0.789)
F (0.342, 0.565, 0.267)
F (0.343, 0.054, 0.251)
F (0.386, 0.639, 0.539)
F (0.405, 0.131, 0.550)
F (0.466, 0.210, 0.751)
F (0.480, 0.720, 0.728)
F (0.520, 0.280, 0.272)
F (0.534, 0.790, 0.249)
F (0.595, 0.869, 0.450)
F (0.614, 0.361, 0.461)
F (0.657, 0.946, 0.749)
F (0.658, 0.435, 0.733)
F (0.670, 0.491, 0.211)
F (0.724, 0.635, 0.427)
F (0.725, 0.518, 0.935)
F (0.726, 0.124, 0.435)
F (0.804, 0.761, 0.187)
F (0.806, 0.641, 0.694)
F (0.818, 0.150, 0.696)
F (0.852, 0.783, 0.917)
F (0.865, 0.845, 0.391)
F (0.872, 0.333, 0.373)
F (0.920, 0.912, 0.673)
F (0.927, 0.403, 0.672)
F (0.986, 0.021, 0.132)
F (0.995, 0.483, 0.870)